Record 1
Diffraction record for NaAlGeP2SO12. The X-ray powder pattern is simulated, not measured: it uses a cell relaxed with PBE and Cu Kα, 1.54184 Å.

Principal peaks in the range 5 to 70 degrees two-theta, in order of rising 2θ:
d [Å]	2θ (°)	I (rel.)
5.993	14.78	37
4.356	20.39	27
4.166	21.33	54
3.632	24.51	54
3.604	24.71	100
2.997	29.82	29
2.752	32.54	29
2.733	32.76	26
2.725	32.87	27
1.802	50.67	20

Structural model:
Unit cell a=14.471 b=8.309 c=8.669 alpha=90.00 beta=123.14 gamma=90.00
Space group Cc (No. 9)
Asymmetric unit:
1 Na 0.000 0.244 0.000 x4
2 Al 0.350 0.261 0.065 x4
3 Ge 0.146 0.249 0.446 x4
4 P 0.106 0.109 0.758 x4
5 P 0.250 0.462 0.256 x4
6 S 0.393 0.104 0.756 x4
7 O 0.002 0.186 0.729 x4
8 O 0.102 0.078 0.275 x4
9 O 0.107 0.124 0.578 x4
10 O 0.168 0.356 0.276 x4
11 O 0.170 0.438 0.578 x4
12 O 0.207 0.180 0.926 x4
13 O 0.300 0.182 0.585 x4
14 O 0.323 0.436 0.924 x4
15 O 0.326 0.354 0.232 x4
16 O 0.391 0.129 0.921 x4
17 O 0.395 0.070 0.231 x4
18 O 0.491 0.180 0.770 x4



Record 2
Diffraction record for PmCu2Sn. The X-ray powder pattern is simulated, not measured: it uses a cell relaxed with PBE and Cu Kα, 1.54184 Å.

Principal peaks in the range 5 to 70 degrees two-theta, in order of rising 2θ:
d [Å]	2θ (°)	I (rel.)
3.895	22.83	1
3.373	26.42	13
2.385	37.71	100
1.948	46.64	4
1.687	54.40	17
1.509	61.46	6
1.377	68.08	34

Structural model:
Unit cell a=6.747 b=6.747 c=6.747 alpha=90.00 beta=90.00 gamma=90.00
Space group Fm-3m (No. 225)
Asymmetric unit:
1 Pm 0.000 0.000 0.000 x4
2 Cu 0.250 0.250 0.250 x8
3 Sn 0.000 0.000 0.500 x4



Record 3
Diffraction record for HgIrO3. The X-ray powder pattern is simulated, not measured: it uses a cell relaxed with PBE and Cu Kα, 1.54184 Å.

Principal peaks in the range 5 to 70 degrees two-theta, in order of rising 2θ:
d [Å]	2θ (°)	I (rel.)
2.805	31.90	100
2.290	39.34	1
1.983	45.74	26
1.619	56.85	41
1.403	66.69	16

Structural model:
Unit cell a=3.967 b=3.967 c=3.967 alpha=90.00 beta=90.00 gamma=90.00
Space group Pm-3m (No. 221)
Asymmetric unit:
1 Hg 0.000 0.000 0.000 x1
2 Ir 0.500 0.500 0.500 x1
3 O 0.000 0.500 0.500 x3